For Sr2CoO4, a structure optimized by DFT (GGA+U) gives the simulated powder XRD pattern in this record (Cu Kα, 1.54184 Å).
Peak positions follow from Bragg's law for the DFT cell and can differ from measured ones.

Crystal structure
Unit cell a=5.5445 b=5.5442 c=6.7587 alpha=90.00 beta=114.16 gamma=90.00
Element x y z (fractional)
Sr: 0.1394 0.0000 0.2785
Sr: 0.3606 0.5000 0.7215
Sr: 0.6394 0.5000 0.2785
Sr: 0.8606 0.0000 0.7215
Co: 0.0000 0.5000 0.0000
Co: 0.5000 0.0000 0.0000
O: 0.1545 0.5000 0.3110
O: 0.2500 0.2500 0.0000
O: 0.2500 0.7500 0.0000
O: 0.3455 0.0000 0.6890
O: 0.6545 0.0000 0.3110
O: 0.7500 0.2500 0.0000
O: 0.7500 0.7500 0.0000
O: 0.8455 0.5000 0.6890

Peak list (10 most intense, 2θ = 5–70°, by angle)
- 14.36 deg, I 15, hkl 0 0 1
- 31.53 deg, I 100, hkl 1 1 1
- 32.29 deg, I 81, hkl 0 2 0
- 43.34 deg, I 19, hkl 1 1 -3
- 43.92 deg, I 29, hkl 2 0 1
- 44.05 deg, I 13, hkl 0 0 3
- 46.32 deg, I 45, hkl 2 2 -1
- 57.11 deg, I 38, hkl 3 1 0
- 65.84 deg, I 14, hkl 2 2 2
- 67.58 deg, I 13, hkl 0 4 0